Diffraction record for HfTh6In10. The powder XRD pattern is computed, not measured: it uses a DFT-relaxed cell (GGA-PBE, Alexandria) and copper Kα.
Peak positions follow from Bragg's law for the DFT cell and can differ from measured ones.

Most intense lines, 15 to 90 degrees two-theta, by angle:
| 2theta | I/Imax | h k l |
| --- | --- | --- |
| 23.6 | 34.9 | 1 1 1 |
| 28.0 | 16.9 | 0 0 2 |
| 32.4 | 94.6 | 3 -1 1 |
| 33.1 | 74.8 | 3 0 0 |
| 34.0 | 100.0 | 1 1 2 |
| 41.1 | 14.4 | 4 -2 1 |
| 42.6 | 29.3 | 3 1 1 |
| 48.2 | 20.7 | 4 -2 2 |
| 59.8 | 26.0 | 4 -1 3 |
| 62.3 | 15.1 | 6 -2 1 |

Cell and atoms:
a b c (Å): 9.3686 9.3686 6.3813
angles (deg): 90.00 90.00 120.00
Space group P-31m (No. 162)
Inequivalent atoms, fractional coordinates:
Hf1 0.0000 0.0000 0.0000 [1 per cell]
Th1 0.0000 0.3867 0.7750 [6 per cell]
In1 0.0000 0.2517 0.2982 [6 per cell]
In2 0.3333 0.6667 0.0000 [2 per cell]
In3 0.3333 0.6667 0.5000 [2 per cell]

***

Diffraction record for Ce2AsP. The powder XRD pattern is computed, not measured: it uses a DFT-relaxed cell (GGA-PBE, Alexandria) and copper Kα.
Peak positions follow from Bragg's law for the DFT cell and can differ from measured ones.

Most intense lines, 15 to 90 degrees two-theta, by angle:
| 2theta | I/Imax | h k l |
| --- | --- | --- |
| 26.3 | 36.7 | 1 1 2 |
| 30.4 | 100.0 | 2 0 0 |
| 43.6 | 73.7 | 2 2 0 |
| 51.6 | 17.8 | 3 1 2 |
| 54.1 | 25.8 | 2 2 4 |
| 63.3 | 11.9 | 4 0 0 |
| 69.8 | 7.1 | 3 3 2 |
| 71.9 | 32.7 | 4 2 0 |
| 80.0 | 24.5 | 4 2 4 |
| 86.0 | 5.4 | 5 1 2 |

Cell and atoms:
a b c (Å): 5.8777 5.8777 11.7438
angles (deg): 90.00 90.00 90.00
Space group I4_1/amd (No. 141, origin choice 2)
Inequivalent atoms, fractional coordinates:
Ce1 0.0000 0.2500 0.1211 [8 per cell]
As1 0.0000 0.2500 0.3750 [4 per cell]
P1 0.0000 0.2500 0.8750 [4 per cell]